Calculated powder diffraction line list
Compound: V2SnO6
Radiation: Cu Kα (weighted mean of Kα1 and Kα2)
Structure: DFT lattice parameters and positions (PBE+U)
No peak broadening, texture or thermal motion is included.

Structural model:
```
data_V2SnO6
_chemical_formula_sum 'V2 Sn1 O6'
_symmetry_space_group_name_H-M 'P -3 1 m'
_symmetry_Int_Tables_number 162
_symmetry_space_group_name_Hall '-P 3 2'
_cell_length_a 5.0059
_cell_length_b 5.0059
_cell_length_c 4.5361
_cell_angle_alpha 90.00
_cell_angle_beta 90.00
_cell_angle_gamma 120.00
loop_
_atom_site_label
_atom_site_type_symbol
_atom_site_fract_x
_atom_site_fract_y
_atom_site_fract_z
V1 V 0.3333 0.6667 0.0000
Sn1 Sn 0.0000 0.0000 0.5000
O1 O 0.0000 0.3471 0.7646
```

Most intense lines, 10 to 90 degrees two-theta, by angle:
hkl	2theta	d (Å)	I/Imax
1 0 0	20.5	4.335	15
1 0 1	28.5	3.134	100
1 1 0	35.9	2.503	27
2 0 1	46.4	1.956	26
1 1 2	54.6	1.681	37
2 1 1	60.0	1.541	24
3 0 0	64.5	1.445	14
4 -1 1	83.1	1.162	10